Ca5Ac2: computed PXRD pattern (CuKα), based on DFT lattice parameters and positions (PBE).

Largest 12 diffraction maxima, by intensity, 2θ from 10° to 80°:
2θ/deg  d/Å  intensity
28.69  3.112  100.0
50.80  1.797  30.2
21.20  4.191  25.0
16.77  5.286  20.4
30.42  2.938  19.8
41.02  2.200  18.9
67.29  1.392  16.9
50.90  1.794  9.9
46.59  1.949  6.9
35.93  2.500  6.9
59.36  1.557  6.3
59.46  1.555  6.1

Crystal structure
```
Ca5Ac2
1.0
3.114 1.798 8.878
-3.114 1.798 8.878
0.000 -3.596 8.878
Ca Ac
5 2
direct
0.000 0.000 0.000
0.284 0.284 0.284
0.428 0.428 0.428
0.572 0.572 0.572
0.716 0.716 0.716
0.141 0.141 0.141
0.859 0.859 0.859
```

---

Ca3Ac: computed PXRD pattern (CuKα), based on DFT lattice parameters and positions (PBE).

Largest 12 diffraction maxima, by intensity, 2θ from 10° to 80°:
2θ/deg  d/Å  intensity
27.75  3.215  100.0
31.96  2.800  34.6
54.42  1.686  29.7
25.56  3.485  27.8
46.24  1.963  24.1
23.88  3.726  17.6
32.51  2.754  16.3
30.35  2.945  16.0
32.23  2.778  14.7
55.14  1.666  14.0
57.31  1.608  12.6
45.83  1.980  12.5

Crystal structure
```
Ca3Ac
1.0
3.960 0.000 0.000
0.000 3.960 0.000
0.000 0.000 22.032
Ca Ac
6 2
direct
0.250 0.250 0.062
0.250 0.250 0.308
0.250 0.250 0.816
0.750 0.750 0.184
0.750 0.750 0.692
0.750 0.750 0.938
0.250 0.250 0.561
0.750 0.750 0.439
```

---

Ca13Ac3: computed PXRD pattern (CuKα), based on DFT lattice parameters and positions (PBE).

Largest 12 diffraction maxima, by intensity, 2θ from 10° to 80°:
2θ/deg  d/Å  intensity
29.76  3.003  100.0
13.00  6.809  62.7
19.12  4.642  49.6
29.95  2.984  45.7
28.01  3.185  37.5
26.75  3.332  31.6
26.18  3.404  22.4
55.12  1.666  21.5
50.67  1.802  21.2
14.78  5.995  21.2
31.00  2.884  20.8
46.45  1.955  18.4

Crystal structure
```
Ca13Ac3
1.0
12.740 0.000 0.000
0.000 3.942 6.755
0.000 -3.942 6.755
Ca Ac
13 3
direct
0.000 0.000 0.000
0.000 0.001 0.507
0.000 0.503 0.503
0.000 0.507 0.001
0.249 0.331 0.833
0.249 0.833 0.331
0.251 0.333 0.333
0.500 0.003 0.504
0.500 0.504 0.003
0.500 0.504 0.504
0.749 0.333 0.333
0.751 0.331 0.833
0.751 0.833 0.331
0.257 0.833 0.833
0.500 0.002 0.002
0.743 0.833 0.833
```

---

CaAc7: computed PXRD pattern (CuKα), based on DFT lattice parameters and positions (PBE).

Largest 12 diffraction maxima, by intensity, 2θ from 10° to 80°:
2θ/deg  d/Å  intensity
27.47  3.247  100.0
31.82  2.812  51.6
54.08  1.696  47.7
45.62  1.989  39.0
73.38  1.290  19.6
75.61  1.258  18.1
56.69  1.624  13.8
66.50  1.406  6.5
13.63  6.495  6.0
26.28  3.392  4.1
15.76  5.624  3.3
22.35  3.977  3.0

Crystal structure
```
CaAc7
1.0
0.000 5.624 5.624
5.624 0.000 5.624
5.624 5.624 0.000
Ca Ac
1 7
direct
0.000 0.000 0.000
0.000 0.000 0.500
0.000 0.500 0.000
0.000 0.500 0.500
0.500 0.000 0.000
0.500 0.000 0.500
0.500 0.500 0.000
0.500 0.500 0.500
```

---

CaAc: computed PXRD pattern (CuKα), based on DFT lattice parameters and positions (PBE).

Largest 12 diffraction maxima, by intensity, 2θ from 10° to 80°:
2θ/deg  d/Å  intensity
28.52  3.130  100.0
30.68  2.914  79.9
26.49  3.364  71.6
27.37  3.259  42.5
34.88  2.572  38.7
46.03  1.972  31.6
54.35  1.688  25.6
47.66  1.908  25.4
41.78  2.162  19.6
55.04  1.668  16.2
20.44  4.345  16.0
46.58  1.950  15.4

Crystal structure
```
CaAc
1.0
6.828 0.000 0.000
0.000 3.945 0.000
-2.238 0.000 13.036
Ca Ac
4 4
direct
0.126 0.000 0.376
0.374 0.500 0.624
0.626 0.500 0.376
0.874 0.000 0.624
0.206 0.500 0.121
0.294 0.000 0.879
0.706 0.000 0.121
0.794 0.500 0.879
```

---

Ca7Ac6: computed PXRD pattern (CuKα), based on DFT lattice parameters and positions (PBE).

Largest 12 diffraction maxima, by intensity, 2θ from 10° to 80°:
2θ/deg  d/Å  intensity
24.98  3.564  100.0
28.46  3.136  68.8
26.75  3.333  65.5
28.71  3.109  42.8
45.10  2.010  32.6
14.52  6.100  23.8
13.42  6.599  23.5
46.37  1.958  23.4
51.26  1.782  23.1
44.00  2.058  23.0
46.21  1.965  18.5
29.01  3.077  16.9

Crystal structure
```
Ca7Ac6
1.0
3.564 2.058 13.197
-3.564 2.058 13.197
0.000 -4.116 13.197
Ca Ac
7 6
direct
0.000 0.000 0.000
0.092 0.092 0.586
0.092 0.586 0.092
0.414 0.908 0.908
0.586 0.092 0.092
0.908 0.414 0.908
0.908 0.908 0.414
0.166 0.166 0.166
0.349 0.349 0.349
0.455 0.455 0.455
0.545 0.545 0.545
0.651 0.651 0.651
0.834 0.834 0.834
```

---

Ca5Ac6: computed PXRD pattern (CuKα), based on DFT lattice parameters and positions (PBE).

Largest 12 diffraction maxima, by intensity, 2θ from 10° to 80°:
2θ/deg  d/Å  intensity
28.02  3.185  100.0
13.71  6.460  87.2
32.08  2.790  46.9
26.68  3.341  38.7
27.62  3.230  34.4
46.31  1.960  25.6
32.88  2.724  22.1
54.73  1.677  20.7
35.40  2.535  19.0
27.15  3.284  18.5
41.93  2.155  17.9
46.85  1.939  16.7

Crystal structure
```
Ca5Ac6
1.0
6.582 -5.887 0.000
6.582 5.887 0.000
-1.284 0.000 6.569
Ca Ac
5 6
direct
0.000 0.000 0.000
0.168 0.832 0.500
0.336 0.664 0.000
0.664 0.336 0.000
0.832 0.168 0.500
0.088 0.419 0.246
0.246 0.246 0.746
0.419 0.088 0.246
0.581 0.912 0.754
0.754 0.754 0.254
0.912 0.581 0.754
```

---

CaAc2Cd8: computed PXRD pattern (CuKα), based on DFT lattice parameters and positions (PBE).

Largest 12 diffraction maxima, by intensity, 2θ from 10° to 80°:
2θ/deg  d/Å  intensity
31.35  2.854  100.0
31.45  2.844  70.0
34.93  2.569  43.1
34.25  2.618  40.4
32.64  2.743  35.3
35.18  2.551  33.1
34.41  2.606  29.9
43.90  2.063  20.7
41.78  2.162  19.7
10.59  8.353  19.3
62.01  1.497  16.2
57.51  1.603  14.9

Crystal structure
```
CaAc2Cd8
1.0
5.486 0.000 0.000
-0.008 6.776 0.000
-2.723 -3.302 8.353
Ca Ac Cd
1 2 8
direct
0.000 0.000 0.000
0.191 0.659 0.384
0.809 0.341 0.616
0.195 0.159 0.388
0.249 0.500 0.000
0.373 0.110 0.746
0.389 0.685 0.777
0.611 0.315 0.223
0.627 0.890 0.254
0.751 0.500 0.000
0.805 0.841 0.612
```